ZnH3CNO3: calculated powder X-ray diffraction pattern (Cu Kα, 1.54184 Å), based on a cell relaxed with GGA-PBE.

Most intense lines, 2θ = 10–90°, in order of rising 2θ:
2θ (°)	I/Imax	(hkl)
15.2	34	1 1 0
21.0	100	0 1 1
23.1	39	2 1 0
23.3	35	1 1 1
26.7	48	2 0 1
30.8	31	1 2 1
42.8	41	2 1 2
46.1	24	4 1 1

Structural model:
abc: 8.892 7.757 5.054
angles: 90.00 90.00 90.00
Fractional coordinates of all 36 atoms:
Zn  0.139  0.188  0.000
Zn  0.361  0.688  0.500
Zn  0.639  0.312  0.000
Zn  0.861  0.812  0.500
H  0.026  0.261  0.429
H  0.032  0.587  0.718
H  0.137  0.425  0.362
H  0.363  0.925  0.862
H  0.468  0.087  0.218
H  0.474  0.761  0.929
H  0.526  0.239  0.429
H  0.532  0.913  0.718
H  0.637  0.075  0.362
H  0.863  0.575  0.862
H  0.968  0.413  0.218
H  0.974  0.739  0.929
C  0.126  0.872  0.252
C  0.374  0.372  0.752
C  0.626  0.628  0.252
C  0.874  0.128  0.752
N  0.059  0.343  0.279
N  0.441  0.843  0.779
N  0.559  0.157  0.279
N  0.941  0.657  0.779
O  0.016  0.091  0.711
O  0.159  0.727  0.359
O  0.229  0.979  0.179
O  0.271  0.479  0.679
O  0.341  0.227  0.859
O  0.484  0.591  0.211
O  0.516  0.409  0.711
O  0.659  0.773  0.359
O  0.729  0.521  0.179
O  0.771  0.021  0.679
O  0.841  0.273  0.859
O  0.984  0.909  0.211